No. 1
Mg3Si4: theoretical powder XRD pattern (Cu Kα X-rays), based on DFT lattice parameters and positions (GGA-PBE).
No peak broadening, texture or thermal motion is included.

Structure:
```
data_Mg3Si4
_chemical_formula_sum 'Mg6 Si8'
_cell_length_a 5.445
_cell_length_b 6.978
_cell_length_c 7.864
_cell_angle_alpha 64.67
_cell_angle_beta 82.83
_cell_angle_gamma 69.27
_space_group_name_H-M_alt 'P -1'
_space_group_IT_number 2
loop_
_space_group_symop_operation_xyz
'x,y,z'
'-x,-y,-z'
loop_
_atom_site_label
_atom_site_type_symbol
_atom_site_fract_x
_atom_site_fract_y
_atom_site_fract_z
Mg1 Mg 0.136 0.475 0.178
Mg2 Mg 0.216 0.038 0.103
Mg3 Mg 0.216 0.652 0.475
Si1 Si 0.260 0.201 0.711
Si2 Si 0.274 0.027 0.470
Si3 Si 0.306 0.785 0.830
Si4 Si 0.431 0.389 0.855
```

Largest 12 diffraction maxima, sorted by position, 10° ≤ 2θ ≤ 90°:
Position (°2θ)	I (rel.)	h k l
35.3	100	2 0 0
36.5	94	1 2 -1
37.0	61	1 1 3
37.1	78	2 0 -1
37.5	88	0 2 3
38.0	98	0 0 3
39.2	72	1 3 1
40.7	47	-1 1 3
42.0	80	0 3 2
43.1	45	2 -1 0
44.5	62	2 3 1
46.0	66	1 -2 1

No. 2
Mg3Si4: theoretical powder XRD pattern (Cu Kα X-rays), based on DFT lattice parameters and positions (GGA-PBE).
No peak broadening, texture or thermal motion is included.

Structure:
```
data_Mg3Si4
_chemical_formula_sum 'Mg6 Si8'
_cell_length_a 3.935
_cell_length_b 7.681
_cell_length_c 9.417
_cell_angle_alpha 110.16
_cell_angle_beta 93.01
_cell_angle_gamma 99.73
_space_group_name_H-M_alt 'P 1'
_space_group_IT_number 1
loop_
_space_group_symop_operation_xyz
'x,y,z'
loop_
_atom_site_label
_atom_site_type_symbol
_atom_site_fract_x
_atom_site_fract_y
_atom_site_fract_z
Mg1 Mg 0.000 0.000 0.000
Mg2 Mg 0.022 0.364 0.516
Mg3 Mg 0.157 0.425 0.246
Mg4 Mg 0.365 0.031 0.457
Mg5 Mg 0.587 0.333 0.992
Mg6 Mg 0.763 0.726 0.460
Si1 Si 0.146 0.669 0.106
Si2 Si 0.400 0.688 0.876
Si3 Si 0.415 0.939 0.724
Si4 Si 0.568 0.382 0.729
Si5 Si 0.582 0.164 0.223
Si6 Si 0.722 0.855 0.219
Si7 Si 0.904 0.689 0.720
Si8 Si 0.990 0.161 0.741
```

Largest 12 diffraction maxima, sorted by position, 10° ≤ 2θ ≤ 90°:
Position (°2θ)	I (rel.)	h k l
10.1	21	0 0 1
20.2	22	0 0 2
32.8	100	1 1 1
34.4	73	-1 2 1
36.3	31	1 1 -3
38.3	20	0 1 -4
38.9	35	1 -2 3
39.2	20	1 -3 1
40.7	64	1 2 -3
41.1	37	0 0 4
46.3	26	2 -1 0
47.1	21	2 0 -1

No. 3
Mg3Si4: theoretical powder XRD pattern (Cu Kα X-rays), based on DFT lattice parameters and positions (GGA-PBE).
No peak broadening, texture or thermal motion is included.

Structure:
```
data_Mg3Si4
_chemical_formula_sum 'Mg6 Si8'
_cell_length_a 6.004
_cell_length_b 4.139
_cell_length_c 10.052
_cell_angle_alpha 90.00
_cell_angle_beta 97.43
_cell_angle_gamma 90.00
_space_group_name_H-M_alt 'P 1 m 1'
_space_group_IT_number 6
loop_
_space_group_symop_operation_xyz
'x,y,z'
'x,-y,z'
loop_
_atom_site_label
_atom_site_type_symbol
_atom_site_fract_x
_atom_site_fract_y
_atom_site_fract_z
Mg1 Mg 0.000 0.000 0.000
Mg2 Mg 0.007 0.500 0.500
Mg3 Mg 0.192 0.500 0.796
Mg4 Mg 0.392 0.500 0.361
Mg5 Mg 0.621 0.500 0.639
Mg6 Mg 0.819 0.500 0.204
Si1 Si 0.085 0.000 0.309
Si2 Si 0.320 0.000 0.564
Si3 Si 0.342 0.500 0.065
Si4 Si 0.450 0.000 0.190
Si5 Si 0.565 0.000 0.809
Si6 Si 0.653 0.500 0.937
Si7 Si 0.694 0.000 0.435
Si8 Si 0.928 0.000 0.692
```

Largest 12 diffraction maxima, sorted by position, 10° ≤ 2θ ≤ 90°:
Position (°2θ)	I (rel.)	h k l
30.7	9	1 1 -2
33.0	9	2 0 -2
37.2	9	2 1 0
37.3	79	1 0 -4
39.3	100	1 1 3
39.7	22	2 1 -2
43.7	38	0 2 0
47.9	9	3 0 1
58.8	14	1 2 -4
69.9	8	0 1 7
77.4	13	1 3 3
84.5	9	2 2 6

No. 4
Mg4Si3: theoretical powder XRD pattern (Cu Kα X-rays), based on DFT lattice parameters and positions (GGA-PBE).
No peak broadening, texture or thermal motion is included.

Structure:
```
data_Mg4Si3
_chemical_formula_sum 'Mg8 Si6'
_cell_length_a 6.257
_cell_length_b 7.225
_cell_length_c 7.242
_cell_angle_alpha 112.63
_cell_angle_beta 110.78
_cell_angle_gamma 91.28
_space_group_name_H-M_alt 'P 1'
_space_group_IT_number 1
loop_
_space_group_symop_operation_xyz
'x,y,z'
loop_
_atom_site_label
_atom_site_type_symbol
_atom_site_fract_x
_atom_site_fract_y
_atom_site_fract_z
Mg1 Mg 0.000 0.000 0.000
Mg2 Mg 0.013 0.488 0.326
Mg3 Mg 0.287 0.872 0.367
Mg4 Mg 0.337 0.420 0.087
Mg5 Mg 0.586 0.297 0.793
Mg6 Mg 0.646 0.631 0.588
Mg7 Mg 0.678 0.784 0.156
Mg8 Mg 0.910 0.233 0.543
Si1 Si 0.253 0.557 0.778
Si2 Si 0.372 0.872 0.767
Si3 Si 0.409 0.229 0.350
Si4 Si 0.629 0.149 0.111
Si5 Si 0.971 0.594 0.959
Si6 Si 0.973 0.895 0.592
```

Largest 12 diffraction maxima, sorted by position, 10° ≤ 2θ ≤ 90°:
Position (°2θ)	I (rel.)	h k l
32.0	100	-2 1 1
32.6	46	1 1 1
33.9	55	1 2 0
35.1	44	1 -1 2
37.2	42	1 -2 2
37.4	49	0 3 -1
38.3	48	1 0 2
39.2	45	1 2 -3
40.5	61	1 0 -3
43.6	31	2 2 -3
47.4	50	3 0 0
47.9	34	-1 1 3

No. 5
Mg3Si4: theoretical powder XRD pattern (Cu Kα X-rays), based on DFT lattice parameters and positions (GGA-PBE).
No peak broadening, texture or thermal motion is included.

Structure:
```
data_Mg3Si4
_chemical_formula_sum 'Mg6 Si8'
_cell_length_a 5.323
_cell_length_b 6.811
_cell_length_c 7.921
_cell_angle_alpha 103.88
_cell_angle_beta 108.43
_cell_angle_gamma 99.05
_space_group_name_H-M_alt 'P 1'
_space_group_IT_number 1
loop_
_space_group_symop_operation_xyz
'x,y,z'
loop_
_atom_site_label
_atom_site_type_symbol
_atom_site_fract_x
_atom_site_fract_y
_atom_site_fract_z
Mg1 Mg 0.000 0.000 0.000
Mg2 Mg 0.040 0.755 0.325
Mg3 Mg 0.114 0.252 0.740
Mg4 Mg 0.313 0.785 0.747
Mg5 Mg 0.444 0.465 0.277
Mg6 Mg 0.603 0.004 0.254
Si1 Si 0.167 0.635 0.009
Si2 Si 0.195 0.166 0.393
Si3 Si 0.562 0.141 0.658
Si4 Si 0.582 0.215 0.980
Si5 Si 0.606 0.580 0.988
Si6 Si 0.735 0.834 0.583
Si7 Si 0.768 0.528 0.716
Si8 Si 0.971 0.436 0.456
```

Largest 12 diffraction maxima, sorted by position, 10° ≤ 2θ ≤ 90°:
Position (°2θ)	I (rel.)	h k l
33.1	65	1 1 1
34.0	53	1 2 -1
34.1	36	0 2 1
34.8	49	-2 1 1
35.3	100	1 1 -3
37.5	45	1 -2 2
37.8	51	0 0 3
38.2	47	-2 1 2
40.1	53	-1 2 2
40.2	66	0 3 -1
41.2	40	2 -1 1
41.7	46	1 -3 1

No. 6
Mg4Si3: theoretical powder XRD pattern (Cu Kα X-rays), based on DFT lattice parameters and positions (GGA-PBE).
No peak broadening, texture or thermal motion is included.

Structure:
```
data_Mg4Si3
_chemical_formula_sum 'Mg8 Si6'
_cell_length_a 5.591
_cell_length_b 6.228
_cell_length_c 8.270
_cell_angle_alpha 74.48
_cell_angle_beta 79.61
_cell_angle_gamma 85.90
_space_group_name_H-M_alt 'P 1'
_space_group_IT_number 1
loop_
_space_group_symop_operation_xyz
'x,y,z'
loop_
_atom_site_label
_atom_site_type_symbol
_atom_site_fract_x
_atom_site_fract_y
_atom_site_fract_z
Mg1 Mg 0.000 0.000 0.000
Mg2 Mg 0.011 0.998 0.655
Mg3 Mg 0.230 0.502 0.884
Mg4 Mg 0.288 0.185 0.246
Mg5 Mg 0.512 0.704 0.126
Mg6 Mg 0.575 0.322 0.504
Mg7 Mg 0.766 0.463 0.795
Mg8 Mg 0.813 0.867 0.383
Si1 Si 0.017 0.581 0.199
Si2 Si 0.081 0.442 0.497
Si3 Si 0.322 0.770 0.461
Si4 Si 0.493 0.096 0.878
Si5 Si 0.519 0.846 0.689
Si6 Si 0.775 0.302 0.157
```

Largest 12 diffraction maxima, sorted by position, 10° ≤ 2θ ≤ 90°:
Position (°2θ)	I (rel.)	h k l
33.6	65	0 1 3
34.3	14	0 0 3
34.4	100	2 1 1
34.7	49	0 2 -1
36.1	27	1 1 -2
38.6	36	-2 1 1
42.2	43	2 -1 2
44.1	24	-2 1 2
45.2	21	0 3 2
45.7	18	1 3 1
46.2	15	-2 2 1
68.3	15	4 0 0

No. 7
Mg4Si3: theoretical powder XRD pattern (Cu Kα X-rays), based on DFT lattice parameters and positions (GGA-PBE).
No peak broadening, texture or thermal motion is included.

Structure:
```
data_Mg4Si3
_chemical_formula_sum 'Mg8 Si6'
_cell_length_a 4.930
_cell_length_b 7.181
_cell_length_c 7.848
_cell_angle_alpha 94.85
_cell_angle_beta 96.35
_cell_angle_gamma 100.28
_space_group_name_H-M_alt 'P 1'
_space_group_IT_number 1
loop_
_space_group_symop_operation_xyz
'x,y,z'
loop_
_atom_site_label
_atom_site_type_symbol
_atom_site_fract_x
_atom_site_fract_y
_atom_site_fract_z
Mg1 Mg 0.000 0.000 0.000
Mg2 Mg 0.013 0.085 0.470
Mg3 Mg 0.161 0.401 0.193
Mg4 Mg 0.337 0.534 0.588
Mg5 Mg 0.394 0.719 0.955
Mg6 Mg 0.433 0.829 0.327
Mg7 Mg 0.519 0.018 0.703
Mg8 Mg 0.815 0.463 0.864
Si1 Si 0.274 0.305 0.848
Si2 Si 0.536 0.228 0.386
Si3 Si 0.562 0.157 0.076
Si4 Si 0.823 0.551 0.428
Si5 Si 0.876 0.698 0.172
Si6 Si 0.945 0.788 0.678
```

Largest 12 diffraction maxima, sorted by position, 10° ≤ 2θ ≤ 90°:
Position (°2θ)	I (rel.)	h k l
32.5	9	0 2 -2
34.3	10	1 2 0
34.6	36	1 2 -1
35.7	30	0 1 -3
36.2	41	1 1 2
36.7	11	1 -2 2
37.1	100	2 -1 0
37.3	24	1 0 -3
38.6	14	1 2 -2
40.7	31	1 -3 1
41.5	16	1 -1 3
48.3	18	2 0 -3

No. 8
Mg4Si3: theoretical powder XRD pattern (Cu Kα X-rays), based on DFT lattice parameters and positions (GGA-PBE).
No peak broadening, texture or thermal motion is included.

Structure:
```
data_Mg4Si3
_chemical_formula_sum 'Mg8 Si6'
_cell_length_a 5.469
_cell_length_b 6.985
_cell_length_c 7.988
_cell_angle_alpha 77.45
_cell_angle_beta 71.02
_cell_angle_gamma 88.48
_space_group_name_H-M_alt 'P 1'
_space_group_IT_number 1
loop_
_space_group_symop_operation_xyz
'x,y,z'
loop_
_atom_site_label
_atom_site_type_symbol
_atom_site_fract_x
_atom_site_fract_y
_atom_site_fract_z
Mg1 Mg 0.000 0.000 0.000
Mg2 Mg 0.025 0.302 0.224
Mg3 Mg 0.096 0.276 0.590
Mg4 Mg 0.376 0.692 0.969
Mg5 Mg 0.451 0.995 0.289
Mg6 Mg 0.513 0.606 0.546
Mg7 Mg 0.587 0.282 0.904
Mg8 Mg 0.915 0.823 0.648
Si1 Si 0.117 0.672 0.328
Si2 Si 0.119 0.413 0.866
Si3 Si 0.380 0.942 0.669
Si4 Si 0.477 0.420 0.272
Si5 Si 0.649 0.231 0.535
Si6 Si 0.823 0.619 0.028
```

Largest 12 diffraction maxima, sorted by position, 10° ≤ 2θ ≤ 90°:
Position (°2θ)	I (rel.)	h k l
13.0	35	0 1 0
15.6	30	0 1 1
30.0	59	1 2 1
32.7	65	1 2 2
33.2	57	1 -2 1
34.7	33	2 0 0
35.0	58	2 1 1
36.0	42	0 1 3
36.6	100	0 0 3
39.4	51	-1 2 2
39.7	34	0 3 0
41.7	98	2 0 3